Entry 1:
This entry pairs a crystal structure of Dy2GaNi2 with its calculated PXRD pattern. Radiation: Cu Kα (weighted mean of Kα1 and Kα2). Structure: a crystal structure in the Materials Project, relaxed with GGA-PBE.

Structural model:
```
data_Dy2GaNi2
_cell_length_a 4.2139
_cell_length_b 5.3657
_cell_length_c 8.2935
_cell_angle_alpha 90.00
_cell_angle_beta 90.00
_cell_angle_gamma 90.00
_space_group_name_H-M_alt 'I m m m'
_space_group_IT_number 71
_space_group_name_Hall '-I 2 2'
loop_
_atom_site_label
_atom_site_type_symbol
_atom_site_fract_x
_atom_site_fract_y
_atom_site_fract_z
Dy1 Dy 0.0000 0.0000 0.2016
Ga1 Ga 0.0000 0.5000 0.0000
Ni1 Ni 0.0000 0.2670 0.5000
```

The 10 most intense peaks (15° ≤ 2θ ≤ 90°), in order of rising 2θ:
| (hkl) | 2θ (°) | Rel. int. |
| --- | --- | --- |
| 1 1 0 | 26.90 | 42 |
| 1 1 2 | 34.65 | 100 |
| 0 1 3 | 36.56 | 34 |
| 1 0 3 | 38.97 | 28 |
| 0 2 2 | 40.03 | 27 |
| 1 2 1 | 41.35 | 44 |
| 2 0 0 | 42.93 | 31 |
| 2 1 3 | 57.63 | 18 |
| 2 2 2 | 60.13 | 16 |
| 1 2 5 | 70.37 | 27 |

***

Entry 2:
This entry pairs a crystal structure of MgZr3U7O20 with its calculated PXRD pattern. Radiation: Cu Kα (weighted mean of Kα1 and Kα2). Structure: a crystal structure in the Materials Project, relaxed with GGA-PBE.

Structural model:
```
data_MgZr3U7O20
_cell_length_a 3.7232
_cell_length_b 6.4721
_cell_length_c 17.3171
_cell_angle_alpha 88.32
_cell_angle_beta 83.86
_cell_angle_gamma 89.97
_space_group_name_H-M_alt 'P 1'
_space_group_IT_number 1
_space_group_name_Hall 'P 1'
loop_
_atom_site_label
_atom_site_type_symbol
_atom_site_fract_x
_atom_site_fract_y
_atom_site_fract_z
Mg1 Mg 0.0000 0.0000 0.0000
Zr1 Zr 0.3344 0.4364 0.3290
Zr2 Zr 0.5662 0.8730 0.8670
Zr3 Zr 0.6603 0.5683 0.6858
U1 U 0.0596 0.3888 0.8794
U2 U 0.1518 0.0719 0.6961
U3 U 0.2448 0.7546 0.5098
U4 U 0.4264 0.1224 0.1454
U5 U 0.7453 0.2528 0.5082
U6 U 0.8369 0.9354 0.3250
U7 U 0.9278 0.6202 0.1421
O1 O 0.0343 0.7519 0.9301
O2 O 0.0840 0.0610 0.8312
O3 O 0.1251 0.4228 0.7458
O4 O 0.1759 0.7327 0.6483
O5 O 0.2211 0.0849 0.5574
O6 O 0.2703 0.4266 0.4577
O7 O 0.3155 0.7576 0.3683
O8 O 0.3587 0.1219 0.2803
O9 O 0.4075 0.4509 0.1835
O10 O 0.4561 0.8118 0.0844
O11 O 0.5243 0.1082 0.9506
O12 O 0.5745 0.5479 0.8489
O13 O 0.6281 0.8728 0.7439
O14 O 0.6724 0.2469 0.6531
O15 O 0.7192 0.5797 0.5614
O16 O 0.7685 0.9225 0.4622
O17 O 0.8137 0.2746 0.3706
O18 O 0.8609 0.5926 0.2773
O19 O 0.9036 0.9428 0.1905
O20 O 0.9605 0.2512 0.0773
```

The 10 most intense peaks (15° ≤ 2θ ≤ 90°), in order of rising 2θ:
| (hkl) | 2θ (°) | Rel. int. |
| --- | --- | --- |
| 0 0 5 | 25.88 | 42 |
| 1 -1 2 | 28.85 | 100 |
| 0 2 2 | 29.21 | 56 |
| 0 0 6 | 31.18 | 21 |
| 0 2 -3 | 32.17 | 17 |
| 1 1 4 | 32.98 | 49 |
| 1 -3 0 | 48.81 | 33 |
| 2 0 1 | 48.93 | 24 |
| 1 1 -7 | 49.05 | 26 |
| 2 2 3 | 58.01 | 31 |

***

Entry 3:
This entry pairs a crystal structure of Mg2Si with its calculated PXRD pattern. Radiation: Cu Kα (weighted mean of Kα1 and Kα2). Structure: a crystal structure in the Materials Project, relaxed with GGA-PBE.

Structural model:
```
data_Mg2Si
_cell_length_a 5.1652
_cell_length_b 5.4916
_cell_length_c 8.4551
_cell_angle_alpha 90.00
_cell_angle_beta 101.42
_cell_angle_gamma 90.00
_space_group_name_H-M_alt 'P 1 21 1'
_space_group_IT_number 4
_space_group_name_Hall 'P 2yb'
loop_
_atom_site_label
_atom_site_type_symbol
_atom_site_fract_x
_atom_site_fract_y
_atom_site_fract_z
Mg1 Mg 0.0036 0.0000 0.0955
Mg2 Mg 0.0541 0.5219 0.2874
Mg3 Mg 0.3476 0.0133 0.4925
Mg4 Mg 0.4946 0.8003 0.8777
Si1 Si 0.1891 0.5649 0.6181
Si2 Si 0.4922 0.2836 0.7924
```

The 10 most intense peaks (15° ≤ 2θ ≤ 90°), in order of rising 2θ:
| (hkl) | 2θ (°) | Rel. int. |
| --- | --- | --- |
| 0 2 1 | 34.41 | 41 |
| 1 1 2 | 34.66 | 42 |
| 2 0 -1 | 34.95 | 30 |
| 2 0 0 | 35.46 | 28 |
| 0 1 3 | 36.41 | 61 |
| 1 2 0 | 37.25 | 91 |
| 1 1 -3 | 37.62 | 100 |
| 2 1 -1 | 38.72 | 37 |
| 2 0 1 | 39.20 | 44 |
| 1 0 3 | 40.16 | 33 |

***

Entry 4:
This entry pairs a crystal structure of MgP4Br12O4 with its calculated PXRD pattern. Radiation: Cu Kα (weighted mean of Kα1 and Kα2). Structure: a crystal structure in the Materials Project, relaxed with GGA-PBE.

Structural model:
```
data_MgP4Br12O4
_cell_length_a 7.1047
_cell_length_b 10.2539
_cell_length_c 11.2184
_cell_angle_alpha 89.23
_cell_angle_beta 89.66
_cell_angle_gamma 80.99
_space_group_name_H-M_alt 'P 1'
_space_group_IT_number 1
_space_group_name_Hall 'P 1'
loop_
_atom_site_label
_atom_site_type_symbol
_atom_site_fract_x
_atom_site_fract_y
_atom_site_fract_z
Mg1 Mg 0.0000 0.0000 0.0000
P1 P 0.1260 0.3108 0.9950
P2 P 0.4259 0.7839 0.0057
P3 P 0.5947 0.1870 0.5176
P4 P 0.8753 0.6834 0.5030
Br1 Br 0.1153 0.5198 0.5092
Br2 Br 0.1566 0.8408 0.8432
Br3 Br 0.1863 0.8648 0.1686
Br4 Br 0.2685 0.3379 0.1614
Br5 Br 0.2991 0.3713 0.8505
Br6 Br 0.4291 0.0273 0.5557
Br7 Br 0.6593 0.0482 0.0317
Br8 Br 0.6993 0.6391 0.3519
Br9 Br 0.6997 0.6513 0.6611
Br10 Br 0.7309 0.1363 0.3448
Br11 Br 0.8273 0.1605 0.6491
Br12 Br 0.8599 0.4488 0.9964
O1 O 0.0944 0.1712 0.9798
O2 O 0.4724 0.6385 0.0196
O3 O 0.4789 0.3199 0.5201
O4 O 0.9322 0.8154 0.4969
```

The 10 most intense peaks (15° ≤ 2θ ≤ 90°), in order of rising 2θ:
| (hkl) | 2θ (°) | Rel. int. |
| --- | --- | --- |
| 0 0 2 | 15.80 | 32 |
| 0 2 1 | 19.14 | 40 |
| 0 2 -1 | 19.32 | 42 |
| 1 2 0 | 19.95 | 84 |
| 1 2 -1 | 21.59 | 42 |
| 1 -2 0 | 23.22 | 53 |
| 1 0 -3 | 27.02 | 100 |
| 2 -1 1 | 29.32 | 37 |
| 0 2 -3 | 29.87 | 30 |
| 0 0 6 | 48.72 | 28 |